[1]
Structure and theoretical XRD peak list of Y6Er12In (a PBE-relaxed structure; λ = 1.5418 Å (Cu Kα)).
Lines closer than 0.1° are merged.

Structural model:
Cell: 8.431 8.431 8.431 Å, 92.23 92.23 92.23°
Element x y z (fractional)
1 Y 0.228 0.762 0.386
2 Y 0.238 0.614 0.772
3 Y 0.386 0.228 0.762
4 Y 0.614 0.772 0.238
5 Y 0.762 0.386 0.228
6 Y 0.772 0.238 0.614
7 Er 0.027 0.291 0.962
8 Er 0.038 0.973 0.709
9 Er 0.129 0.355 0.449
10 Er 0.291 0.962 0.027
11 Er 0.355 0.449 0.129
12 Er 0.449 0.129 0.355
13 Er 0.551 0.871 0.645
14 Er 0.645 0.551 0.871
15 Er 0.709 0.038 0.973
16 Er 0.871 0.645 0.551
17 Er 0.962 0.027 0.291
18 Er 0.973 0.709 0.038
19 In 0.500 0.500 0.500

Peak list (10 most intense, 2θ from 10° to 80°, by angle)
Position (°2θ), Rel. int.
23.24, 247
25.39, 194
31.30, 1000
31.89, 792
33.05, 711
33.24, 951
34.09, 550
35.23, 162
58.19, 293
68.65, 191



[2]
Structure and theoretical XRD peak list of LaTm2Pb3 (a PBE-relaxed structure; λ = 1.5418 Å (Cu Kα)).
Lines closer than 0.1° are merged.

Structural model:
Cell: 4.895 10.110 7.349 Å, 90.00 90.00 90.00°
Element x y z (fractional)
1 La 0.000 0.078 0.000
2 La 0.000 0.922 0.500
3 Tm 0.000 0.285 0.500
4 Tm 0.000 0.715 0.000
5 Tm 0.500 0.498 0.245
6 Tm 0.500 0.502 0.745
7 Pb 0.000 0.407 0.994
8 Pb 0.000 0.593 0.494
9 Pb 0.500 0.159 0.288
10 Pb 0.500 0.159 0.712
11 Pb 0.500 0.841 0.212
12 Pb 0.500 0.841 0.788

Peak list (10 most intense, 2θ from 10° to 80°, by angle)
Position (°2θ), Rel. int.
29.15, 214
30.42, 1000
32.25, 421
34.54, 310
36.17, 273
36.72, 333
49.63, 190
52.49, 192
60.43, 188
72.84, 165



[3]
Structure and theoretical XRD peak list of Pa2Se4Br (a PBE-relaxed structure; λ = 1.5418 Å (Cu Kα)).
Lines closer than 0.1° are merged.

Structural model:
Cell: 8.904 8.904 7.222 Å, 113.90 113.90 105.14°
Element x y z (fractional)
1 Pa 0.000 0.500 0.839
2 Pa 0.052 0.948 0.500
3 Pa 0.500 0.000 0.339
4 Pa 0.948 0.052 0.000
5 Se 0.143 0.858 0.859
6 Se 0.187 0.287 0.955
7 Se 0.247 0.753 0.371
8 Se 0.287 0.187 0.455
9 Se 0.713 0.813 0.482
10 Se 0.753 0.247 0.871
11 Se 0.813 0.713 0.982
12 Se 0.858 0.143 0.359
13 Br 0.365 0.636 0.891
14 Br 0.636 0.365 0.391

Peak list (10 most intense, 2θ from 10° to 80°, by angle)
Position (°2θ), Rel. int.
12.63, 1000
13.77, 760
22.52, 369
26.08, 747
33.30, 671
34.04, 431
35.71, 790
40.93, 906
42.15, 344
44.94, 322



Which formula does entry 2 have?
LaTm2Pb3



Please write out number 1 again, unchanged.
Structure and theoretical XRD peak list of Y6Er12In (a PBE-relaxed structure; λ = 1.5418 Å (Cu Kα)).
Lines closer than 0.1° are merged.

Structural model:
Cell: 8.431 8.431 8.431 Å, 92.23 92.23 92.23°
Element x y z (fractional)
1 Y 0.228 0.762 0.386
2 Y 0.238 0.614 0.772
3 Y 0.386 0.228 0.762
4 Y 0.614 0.772 0.238
5 Y 0.762 0.386 0.228
6 Y 0.772 0.238 0.614
7 Er 0.027 0.291 0.962
8 Er 0.038 0.973 0.709
9 Er 0.129 0.355 0.449
10 Er 0.291 0.962 0.027
11 Er 0.355 0.449 0.129
12 Er 0.449 0.129 0.355
13 Er 0.551 0.871 0.645
14 Er 0.645 0.551 0.871
15 Er 0.709 0.038 0.973
16 Er 0.871 0.645 0.551
17 Er 0.962 0.027 0.291
18 Er 0.973 0.709 0.038
19 In 0.500 0.500 0.500

Peak list (10 most intense, 2θ from 10° to 80°, by angle)
Position (°2θ), Rel. int.
23.24, 247
25.39, 194
31.30, 1000
31.89, 792
33.05, 711
33.24, 951
34.09, 550
35.23, 162
58.19, 293
68.65, 191